# 1
# HfFe2SiH
Computed powder diffraction line list, Cu Kα (weighted mean of Kα1 and Kα2). Input: a cell relaxed with GGA-PBE.
Kinematic intensities with the Lorentz-polarization factor, no thermal factor.

Structural model:
Cell lengths 3.274, 10.070, 6.972 Å; angles 90.00, 90.00, 90.00 degrees
Space group Cmcm (No. 63)
Inequivalent atoms, fractional coordinates:
Hf 0.000 0.047 0.250
Fe 0.000 0.344 0.051
Si 0.000 0.233 0.750
H 0.000 0.500 0.000

Top 10 peaks for 15° ≤ 2θ ≤ 90°, low angle first:
(0 2 0), 5.035 Å, 2θ = 17.62°, rel. 17.7; (1 1 0), 3.114 Å, 2θ = 28.67°, rel. 22.9; (0 2 2), 2.866 Å, 2θ = 31.21°, rel. 40.5; (0 4 1), 2.368 Å, 2θ = 38.00°, rel. 41.7; (1 3 0), 2.344 Å, 2θ = 38.41°, rel. 47.2; (1 1 2), 2.322 Å, 2θ = 38.78°, rel. 100.0; (1 3 1), 2.222 Å, 2θ = 40.61°, rel. 50.7; (0 2 3), 2.110 Å, 2θ = 42.86°, rel. 24.3; (1 5 3), 1.380 Å, 2θ = 67.92°, rel. 21.9; (1 7 1), 1.294 Å, 2θ = 73.15°, rel. 20.9

# 2
# Ac2Sn4Pb
Computed powder diffraction line list, Cu Kα (weighted mean of Kα1 and Kα2). Input: a cell relaxed with GGA-PBE.
Kinematic intensities with the Lorentz-polarization factor, no thermal factor.

Structural model:
Cell lengths 9.597, 10.203, 4.734 Å; angles 90.00, 90.00, 90.00 degrees
Space group Cmmm (No. 65)
Inequivalent atoms, fractional coordinates:
Ac 0.237 0.000 0.000
Sn 0.000 0.251 0.000
Sn 0.250 0.250 0.500
Pb 0.000 0.500 0.500

Top 10 peaks for 15° ≤ 2θ ≤ 90°, low angle first:
(2 2 1), 2.812 Å, 2θ = 31.82°, rel. 100.0; (0 4 0), 2.551 Å, 2θ = 35.18°, rel. 19.5; (4 0 0), 2.399 Å, 2θ = 37.49°, rel. 15.7; (0 0 2), 2.367 Å, 2θ = 38.01°, rel. 15.8; (4 4 0), 1.748 Å, 2θ = 52.35°, rel. 12.3; (0 4 2), 1.735 Å, 2θ = 52.76°, rel. 12.6; (2 6 1), 1.518 Å, 2θ = 61.03°, rel. 16.3; (6 2 1), 1.453 Å, 2θ = 64.11°, rel. 12.9; (2 2 3), 1.438 Å, 2θ = 64.82°, rel. 13.6; (4 4 2), 1.406 Å, 2θ = 66.50°, rel. 12.3

# 3
# Mg8Sn3Ge
Computed powder diffraction line list, Cu Kα (weighted mean of Kα1 and Kα2). Input: a cell relaxed with GGA-PBE.
Kinematic intensities with the Lorentz-polarization factor, no thermal factor.

Structural model:
Cell lengths 6.712, 6.712, 6.712 Å; angles 90.00, 90.00, 90.00 degrees
Space group Pm-3m (No. 221)
Inequivalent atoms, fractional coordinates:
Mg 0.245 0.245 0.245
Sn 0.000 0.500 0.500
Ge 0.000 0.000 0.000

Top 10 peaks for 15° ≤ 2θ ≤ 90°, low angle first:
(1 1 1), 3.875 Å, 2θ = 22.95°, rel. 100.0; (2 0 0), 3.356 Å, 2θ = 26.56°, rel. 14.3; (2 2 0), 2.373 Å, 2θ = 37.91°, rel. 89.3; (3 1 1), 2.024 Å, 2θ = 44.78°, rel. 52.5; (4 0 0), 1.678 Å, 2θ = 54.70°, rel. 15.4; (3 3 1), 1.540 Å, 2θ = 60.08°, rel. 22.3; (4 2 2), 1.370 Å, 2θ = 68.48°, rel. 31.3; (5 1 1), 1.292 Å, 2θ = 73.28°, rel. 17.0; (4 4 0), 1.187 Å, 2θ = 81.04°, rel. 9.9; (5 3 1), 1.135 Å, 2θ = 85.60°, rel. 17.7

# 4
# Ba2Hg2H4Pd
Computed powder diffraction line list, Cu Kα (weighted mean of Kα1 and Kα2). Input: a cell relaxed with GGA-PBE.
Kinematic intensities with the Lorentz-polarization factor, no thermal factor.

Structural model:
Cell lengths 6.492, 6.492, 8.492 Å; angles 90.00, 90.00, 90.00 degrees
Space group I4/mmm (No. 139)
Inequivalent atoms, fractional coordinates:
Ba 0.000 0.500 0.250
Hg 0.000 0.000 0.162
H 0.191 0.191 0.500
Pd 0.000 0.000 0.500

Top 10 peaks for 15° ≤ 2θ ≤ 90°, low angle first:
(1 1 0), 4.590 Å, 2θ = 19.34°, rel. 23.2; (0 0 2), 4.246 Å, 2θ = 20.92°, rel. 17.5; (2 0 0), 3.246 Å, 2θ = 27.48°, rel. 100.0; (1 0 3), 2.595 Å, 2θ = 34.57°, rel. 48.8; (2 0 2), 2.579 Å, 2θ = 34.79°, rel. 21.3; (2 2 0), 2.295 Å, 2θ = 39.25°, rel. 39.8; (2 1 3), 2.027 Å, 2θ = 44.71°, rel. 47.4; (3 2 3), 1.519 Å, 2θ = 60.99°, rel. 19.2; (4 2 0), 1.452 Å, 2θ = 64.16°, rel. 18.7; (3 1 6), 1.165 Å, 2θ = 82.84°, rel. 18.6

# 5
# CaMg2Ga4
Computed powder diffraction line list, Cu Kα (weighted mean of Kα1 and Kα2). Input: a cell relaxed with GGA-PBE.
Kinematic intensities with the Lorentz-polarization factor, no thermal factor.

Structural model:
Cell lengths 16.619, 6.038, 6.055 Å; angles 90.00, 100.90, 90.00 degrees
Space group C2/c (No. 15)
Inequivalent atoms, fractional coordinates:
Ca 0.000 0.241 0.250
Mg 0.194 0.482 0.586
Ga 0.077 0.269 0.788
Ga 0.159 0.007 0.086

Top 10 peaks for 15° ≤ 2θ ≤ 90°, low angle first:
(1 1 -1), 4.242 Å, 2θ = 20.94°, rel. 43.5; (3 1 0), 4.041 Å, 2θ = 21.99°, rel. 40.7; (2 2 0), 2.831 Å, 2θ = 31.60°, rel. 82.2; (5 1 -1), 2.772 Å, 2θ = 32.29°, rel. 25.6; (4 0 -2), 2.653 Å, 2θ = 33.78°, rel. 40.8; (2 0 2), 2.637 Å, 2θ = 33.99°, rel. 44.7; (5 1 1), 2.431 Å, 2θ = 36.98°, rel. 36.0; (7 1 -1), 2.170 Å, 2θ = 41.63°, rel. 28.4; (2 2 -2), 2.120 Å, 2θ = 42.66°, rel. 100.0; (6 2 0), 2.021 Å, 2θ = 44.85°, rel. 43.0

# 6
# ZnBiP2Cl
Computed powder diffraction line list, Cu Kα (weighted mean of Kα1 and Kα2). Input: a cell relaxed with GGA-PBE.
Kinematic intensities with the Lorentz-polarization factor, no thermal factor.

Structural model:
Cell lengths 4.748, 4.748, 4.792 Å; angles 90.00, 90.00, 90.00 degrees
Space group P4/mmm (No. 123)
Inequivalent atoms, fractional coordinates:
Zn 0.000 0.000 0.000
Bi 0.500 0.500 0.500
P 0.000 0.500 0.000
Cl 0.000 0.000 0.500

Top 10 peaks for 15° ≤ 2θ ≤ 90°, low angle first:
(1 0 0), 4.748 Å, 2θ = 18.69°, rel. 16.8; (1 0 1), 3.373 Å, 2θ = 26.42°, rel. 100.0; (1 1 0), 3.357 Å, 2θ = 26.55°, rel. 54.0; (1 1 1), 2.750 Å, 2θ = 32.56°, rel. 55.2; (0 0 2), 2.396 Å, 2θ = 37.54°, rel. 24.4; (2 0 0), 2.374 Å, 2θ = 37.90°, rel. 47.5; (1 1 2), 1.950 Å, 2θ = 46.57°, rel. 24.4; (2 1 1), 1.941 Å, 2θ = 46.79°, rel. 45.2; (2 0 2), 1.686 Å, 2θ = 54.40°, rel. 32.6; (3 1 0), 1.502 Å, 2θ = 61.75°, rel. 20.5

# 7
# Nd13Mg3
Computed powder diffraction line list, Cu Kα (weighted mean of Kα1 and Kα2). Input: a cell relaxed with GGA-PBE.
Kinematic intensities with the Lorentz-polarization factor, no thermal factor.

Structural model:
Cell lengths 10.409, 9.872, 10.316 Å; angles 90.00, 90.00, 90.00 degrees
Space group Amm2 (No. 38)
Inequivalent atoms, fractional coordinates:
Nd 0.000 0.000 0.000
Nd 0.000 0.000 0.537
Nd 0.000 0.230 0.265
Nd 0.242 0.000 0.765
Nd 0.256 0.249 0.016
Nd 0.500 0.000 0.508
Nd 0.500 0.240 0.768
Mg 0.259 0.000 0.264
Mg 0.500 0.000 0.026

Top 10 peaks for 15° ≤ 2θ ≤ 90°, low angle first:
(2 2 2), 2.942 Å, 2θ = 30.38°, rel. 100.0; (4 0 0), 2.602 Å, 2θ = 34.46°, rel. 18.1; (0 0 4), 2.579 Å, 2θ = 34.78°, rel. 17.2; (0 4 0), 2.468 Å, 2θ = 36.40°, rel. 15.1; (4 0 4), 1.832 Å, 2θ = 49.78°, rel. 12.3; (4 4 0), 1.791 Å, 2θ = 51.00°, rel. 11.4; (6 2 2), 1.560 Å, 2θ = 59.23°, rel. 15.0; (2 2 6), 1.550 Å, 2θ = 59.65°, rel. 13.6; (2 6 2), 1.501 Å, 2θ = 61.81°, rel. 12.0; (4 4 4), 1.471 Å, 2θ = 63.22°, rel. 11.4

# 8
# Ac3W2N7
Computed powder diffraction line list, Cu Kα (weighted mean of Kα1 and Kα2). Input: a cell relaxed with GGA-PBE.
Kinematic intensities with the Lorentz-polarization factor, no thermal factor.

Structural model:
Cell lengths 4.060, 4.060, 21.375 Å; angles 90.00, 90.00, 90.00 degrees
Space group I4/mmm (No. 139)
Inequivalent atoms, fractional coordinates:
Ac 0.000 0.000 0.000
Ac 0.000 0.000 0.183
W 0.000 0.000 0.403
N 0.000 0.000 0.307
N 0.000 0.000 0.500
N 0.000 0.500 0.096

Top 10 peaks for 15° ≤ 2θ ≤ 90°, low angle first:
(1 0 5), 2.944 Å, 2θ = 30.36°, rel. 100.0; (1 1 0), 2.871 Å, 2θ = 31.15°, rel. 56.5; (0 0 10), 2.137 Å, 2θ = 42.28°, rel. 9.3; (2 0 0), 2.030 Å, 2θ = 44.63°, rel. 25.9; (1 1 10), 1.715 Å, 2θ = 53.44°, rel. 15.1; (2 1 5), 1.671 Å, 2θ = 54.94°, rel. 39.9; (2 0 10), 1.472 Å, 2θ = 63.16°, rel. 11.2; (2 2 0), 1.436 Å, 2θ = 64.96°, rel. 8.4; (3 0 5), 1.290 Å, 2θ = 73.38°, rel. 8.7; (3 1 0), 1.284 Å, 2θ = 73.80°, rel. 10.1

# 9
# Pm4PPtI2
Computed powder diffraction line list, Cu Kα (weighted mean of Kα1 and Kα2). Input: a cell relaxed with GGA-PBE.
Kinematic intensities with the Lorentz-polarization factor, no thermal factor.

Structural model:
Cell lengths 7.572, 4.149, 8.029 Å; angles 90.00, 106.80, 90.00 degrees
Space group P2/m (No. 10)
Inequivalent atoms, fractional coordinates:
Pm 0.222 0.000 0.190
Pm 0.276 0.500 0.806
P 0.500 0.000 0.000
Pt 0.000 0.500 0.000
I 0.000 0.000 0.500
I 0.500 0.500 0.500

Top 10 peaks for 15° ≤ 2θ ≤ 90°, low angle first:
(2 0 -2), 3.126 Å, 2θ = 28.55°, rel. 55.4; (1 1 1), 3.095 Å, 2θ = 28.85°, rel. 100.0; (1 1 -2), 2.839 Å, 2θ = 31.51°, rel. 9.8; (1 1 2), 2.456 Å, 2θ = 36.58°, rel. 14.4; (2 0 2), 2.323 Å, 2θ = 38.77°, rel. 13.4; (1 1 -3), 2.245 Å, 2θ = 40.16°, rel. 29.0; (3 1 -1), 2.156 Å, 2θ = 41.91°, rel. 42.2; (0 2 0), 2.075 Å, 2θ = 43.63°, rel. 19.0; (2 2 -2), 1.729 Å, 2θ = 52.97°, rel. 19.7; (5 1 -3), 1.373 Å, 2θ = 68.32°, rel. 9.7

# 10
# Tb2Si4Ni3
Computed powder diffraction line list, Cu Kα (weighted mean of Kα1 and Kα2). Input: a cell relaxed with GGA-PBE.
Kinematic intensities with the Lorentz-polarization factor, no thermal factor.

Structural model:
Cell lengths 5.371, 14.306, 7.100 Å; angles 90.00, 90.00, 90.00 degrees
Space group Cmce (No. 64)
Inequivalent atoms, fractional coordinates:
Tb 0.000 0.107 0.098
Si 0.000 0.182 0.485
Si 0.250 0.064 0.750
Ni 0.000 0.000 0.500
Ni 0.250 0.228 0.750

Top 10 peaks for 15° ≤ 2θ ≤ 90°, low angle first:
(1 1 1), 4.104 Å, 2θ = 21.66°, rel. 34.6; (1 3 1), 3.188 Å, 2θ = 27.99°, rel. 28.6; (1 1 2), 2.900 Å, 2θ = 30.83°, rel. 37.2; (1 3 2), 2.516 Å, 2θ = 35.69°, rel. 81.9; (1 5 1), 2.380 Å, 2θ = 37.81°, rel. 100.0; (2 2 1), 2.370 Å, 2θ = 37.96°, rel. 46.2; (0 2 3), 2.247 Å, 2θ = 40.13°, rel. 43.6; (2 4 0), 2.148 Å, 2θ = 42.07°, rel. 29.0; (2 0 2), 2.142 Å, 2θ = 42.20°, rel. 55.5; (0 4 4), 1.590 Å, 2θ = 58.03°, rel. 30.9

# 11
# Tc5MoOs2
Computed powder diffraction line list, Cu Kα (weighted mean of Kα1 and Kα2). Input: a cell relaxed with GGA-PBE.
Kinematic intensities with the Lorentz-polarization factor, no thermal factor.

Structural model:
Cell lengths 4.788, 5.214, 5.526 Å; angles 74.64, 89.99, 62.72 degrees
Space group P1 (No. 1)
Inequivalent atoms, fractional coordinates:
Tc 0.000 0.000 0.000
Tc 0.001 0.992 0.503
Tc 0.087 0.487 0.879
Tc 0.584 0.497 0.628
Tc 0.587 0.491 0.128
Mo 0.089 0.485 0.380
Os 0.502 0.990 0.252
Os 0.507 0.986 0.756

Top 10 peaks for 15° ≤ 2θ ≤ 90°, low angle first:
(0 1 0), 4.424 Å, 2θ = 20.07°, rel. 4.7; (1 0 0), 4.211 Å, 2θ = 21.10°, rel. 8.4; (1 0 -2), 2.393 Å, 2θ = 37.58°, rel. 26.4; (0 2 0), 2.212 Å, 2θ = 40.80°, rel. 25.4; (2 2 0), 2.105 Å, 2θ = 42.96°, rel. 100.0; (1 2 -2), 1.624 Å, 2θ = 56.66°, rel. 15.9; (3 2 2), 1.382 Å, 2θ = 67.82°, rel. 16.7; (2 4 0), 1.255 Å, 2θ = 75.77°, rel. 18.3; (3 4 2), 1.172 Å, 2θ = 82.26°, rel. 19.6; (2 1 -4), 1.155 Å, 2θ = 83.72°, rel. 14.3

# 12
# DyUPaO6
Computed powder diffraction line list, Cu Kα (weighted mean of Kα1 and Kα2). Input: a cell relaxed with GGA-PBE.
Kinematic intensities with the Lorentz-polarization factor, no thermal factor.

Structural model:
Cell lengths 5.7791, 5.7791, 9.4881 Å; angles 90.00, 90.00, 120.00 degrees
Space group P-31c (No. 163)
Inequivalent atoms, fractional coordinates:
Dy 0.3333 0.6667 0.2500
U 0.3333 0.6667 0.7500
Pa 0.0000 0.0000 0.0000
O 0.0101 0.3315 0.6292

Top 10 peaks for 15° ≤ 2θ ≤ 90°, low angle first:
(1 0 2), 3.443 Å, 2θ = 25.88°, rel. 100.0; (1 1 0), 2.890 Å, 2θ = 30.95°, rel. 57.3; (2 0 2), 2.213 Å, 2θ = 40.77°, rel. 30.8; (1 1 4), 1.833 Å, 2θ = 49.73°, rel. 42.9; (3 -1 2), 1.757 Å, 2θ = 52.05°, rel. 30.8; (3 0 0), 1.668 Å, 2θ = 55.05°, rel. 17.8; (3 0 4), 1.365 Å, 2θ = 68.80°, rel. 11.4; (3 1 2), 1.332 Å, 2θ = 70.71°, rel. 12.6; (4 -2 4), 1.234 Å, 2θ = 77.33°, rel. 11.8; (2 1 6), 1.213 Å, 2θ = 78.90°, rel. 9.4

# 13
# CrCd2
Computed powder diffraction line list, Cu Kα (weighted mean of Kα1 and Kα2). Input: a cell relaxed with GGA-PBE.
Kinematic intensities with the Lorentz-polarization factor, no thermal factor.

Structural model:
Cell lengths 11.062, 3.110, 7.186 Å; angles 90.00, 103.10, 90.00 degrees
Space group Cm (No. 8)
Inequivalent atoms, fractional coordinates:
Cr 0.000 0.000 0.000
Cr 0.178 0.500 0.351
Cd 0.115 0.500 0.738
Cd 0.278 0.000 0.074
Cd 0.340 0.000 0.675
Cd 0.460 0.500 0.383

Top 10 peaks for 15° ≤ 2θ ≤ 90°, low angle first:
(1 1 1), 2.688 Å, 2θ = 33.34°, rel. 28.0; (2 0 2), 2.671 Å, 2θ = 33.55°, rel. 13.9; (4 0 -2), 2.415 Å, 2θ = 37.22°, rel. 34.3; (3 1 0), 2.349 Å, 2θ = 38.32°, rel. 100.0; (4 0 1), 2.342 Å, 2θ = 38.43°, rel. 25.1; (0 0 3), 2.333 Å, 2θ = 38.59°, rel. 24.4; (6 0 0), 1.798 Å, 2θ = 50.79°, rel. 11.5; (0 2 0), 1.555 Å, 2θ = 59.43°, rel. 9.7; (3 1 3), 1.545 Å, 2θ = 59.85°, rel. 16.5; (8 0 -1), 1.382 Å, 2θ = 67.78°, rel. 11.5